Theoretical XRD peak list
Compound: FeNi2Pd
Radiation: λ = 1.5418 Å (Cu Kα)
Structure: the GGA-PBE geometry in Alexandria
Peak positions follow from Bragg's law for the DFT cell and can differ from measured ones.

Most intense lines, 2θ = 5–70°, low angle first:
| 2θ (°) | d (Å) | I/Imax |
| --- | --- | --- |
| 10.55 | 8.389 | 23 |
| 32.00 | 2.796 | 10 |
| 40.42 | 2.232 | 54 |
| 43.13 | 2.097 | 49 |
| 43.79 | 2.067 | 100 |
| 47.40 | 1.918 | 94 |
| 54.47 | 1.685 | 12 |
| 66.36 | 1.409 | 17 |

Lattice parameters (Å, degrees): 8.5244 8.5244 8.5244 17.67 17.67 17.67
Fractional positions:
Fe 0.0000 0.0000 0.0000
Ni 0.2550 0.2550 0.2550
Ni 0.4117 0.4117 0.4117
Pd 0.8334 0.8334 0.8334